Diffraction record for Rb2Cu2Sb2S5. The XRD peak list is theoretical, not measured: it uses a crystal structure in the Materials Project, relaxed with GGA-PBE and Cu Kα, 1.54184 Å.
Kinematic intensities with the Lorentz-polarization factor, no thermal factor.

Structural model:
```
Rb2Cu2Sb2S5
1.0
16.766 0.000 0.000
0.000 10.462 0.000
-1.137 0.000 6.587
Rb Cu Sb S
8 8 8 20
direct
0.038 0.141 0.239
0.038 0.359 0.739
0.433 0.117 0.235
0.433 0.383 0.735
0.567 0.617 0.265
0.567 0.883 0.765
0.962 0.641 0.261
0.962 0.859 0.761
0.146 0.648 0.022
0.146 0.852 0.522
0.246 0.139 0.577
0.246 0.361 0.077
0.754 0.639 0.923
0.754 0.861 0.423
0.854 0.148 0.478
0.854 0.352 0.978
0.217 0.537 0.511
0.217 0.963 0.011
0.317 0.650 0.119
0.317 0.850 0.619
0.683 0.150 0.381
0.683 0.350 0.881
0.783 0.037 0.989
0.783 0.463 0.489
0.116 0.659 0.674
0.116 0.841 0.174
0.132 0.038 0.693
0.132 0.462 0.193
0.232 0.157 0.220
0.232 0.343 0.720
0.376 0.055 0.719
0.376 0.445 0.219
0.403 0.693 0.856
0.403 0.807 0.356
0.597 0.193 0.644
0.597 0.307 0.144
0.624 0.555 0.781
0.624 0.945 0.281
0.768 0.657 0.280
0.768 0.843 0.780
0.868 0.538 0.807
0.868 0.962 0.307
0.884 0.159 0.826
0.884 0.341 0.326
```

Most intense lines, 10° ≤ 2θ ≤ 90°, most intense first:
| h k l | d (Å) | two_theta | intensity |
| --- | --- | --- | --- |
| 2 0 0 | 8.261 | 10.71 | 100 |
| 5 1 -1 | 3.041 | 29.37 | 71 |
| 5 1 0 | 3.151 | 28.32 | 61 |
| 0 3 1 | 3.082 | 28.97 | 54 |
| 5 5 0 | 1.768 | 51.70 | 50 |
| 3 2 1 | 3.131 | 28.51 | 49 |

Diffraction record for YCd2. The XRD peak list is theoretical, not measured: it uses a crystal structure in the Materials Project, relaxed with GGA-PBE and Cu Kα, 1.54184 Å.
Kinematic intensities with the Lorentz-polarization factor, no thermal factor.

Structural model:
```
YCd2
1.0
4.968 0.000 0.000
-2.484 4.303 0.000
0.000 0.000 3.495
Y Cd
1 2
direct
0.000 0.000 0.000
0.333 0.667 0.500
0.667 0.333 0.500
```

Most intense lines, 10° ≤ 2θ ≤ 90°, most intense first:
| h k l | d (Å) | two_theta | intensity |
| --- | --- | --- | --- |
| 1 0 1 | 2.713 | 33.02 | 100 |
| 1 1 0 | 2.484 | 36.16 | 95 |
| 1 1 2 | 1.429 | 65.29 | 32 |
| 2 0 1 | 1.832 | 49.77 | 30 |
| 2 1 1 | 1.474 | 63.05 | 29 |
| 1 1 1 | 2.025 | 44.76 | 19 |

Diffraction record for BaH2O3. The XRD peak list is theoretical, not measured: it uses a crystal structure in the Materials Project, relaxed with GGA-PBE and Cu Kα, 1.54184 Å.
Kinematic intensities with the Lorentz-polarization factor, no thermal factor.

Structural model:
```
BaH2O3
1.0
6.245 0.000 0.000
0.000 4.010 0.000
-2.297 0.000 6.590
Ba H O
2 4 6
direct
0.146 0.250 0.293
0.854 0.750 0.707
0.266 0.250 0.837
0.369 0.750 0.058
0.631 0.250 0.942
0.734 0.750 0.163
0.169 0.250 0.694
0.213 0.750 0.056
0.350 0.750 0.617
0.650 0.250 0.383
0.787 0.250 0.944
0.831 0.750 0.306
```

Most intense lines, 10° ≤ 2θ ≤ 90°, most intense first:
| h k l | d (Å) | two_theta | intensity |
| --- | --- | --- | --- |
| 0 1 1 | 3.426 | 26.01 | 100 |
| 1 0 0 | 5.897 | 15.02 | 91 |
| 1 1 -1 | 3.210 | 27.79 | 65 |
| 2 1 0 | 2.376 | 37.87 | 64 |
| 1 1 0 | 3.316 | 26.89 | 56 |
| 2 1 -2 | 2.227 | 40.50 | 53 |

Diffraction record for Sr2MgCuCN2O2. The XRD peak list is theoretical, not measured: it uses a crystal structure in the Materials Project, relaxed with GGA-PBE and Cu Kα, 1.54184 Å.
Kinematic intensities with the Lorentz-polarization factor, no thermal factor.

Structural model:
```
Sr2MgCuCN2O2
1.0
3.981 0.000 0.000
0.000 3.981 0.000
0.000 0.000 9.506
Sr Mg Cu C N O
2 1 1 1 2 2
direct
0.000 0.000 0.169
0.000 0.000 0.831
0.000 0.000 0.500
0.500 0.500 0.000
0.500 0.500 0.500
0.500 0.500 0.368
0.500 0.500 0.632
0.000 0.500 0.000
0.500 0.000 0.000
```

Most intense lines, 10° ≤ 2θ ≤ 90°, most intense first:
| h k l | d (Å) | two_theta | intensity |
| --- | --- | --- | --- |
| 1 0 3 | 2.479 | 36.23 | 100 |
| 1 1 0 | 2.815 | 31.78 | 69 |
| 1 0 2 | 3.052 | 29.26 | 46 |
| 2 1 3 | 1.552 | 59.56 | 44 |
| 2 0 0 | 1.991 | 45.57 | 36 |
| 1 1 3 | 2.105 | 42.98 | 18 |